For PuUC3, a structure optimized by DFT (GGA-PBE) gives the simulated powder diffractogram in this record (Cu Kα (λ = 1.5418 Å)).
Lines closer than 0.1° are merged.

abc: 8.0824 8.0824 8.0824
angles: 90.00 90.00 90.00
Space group I2_13 (No. 199)
Asymmetric unit:
Pu 0.2008 0.2992 0.7008 [8 per cell]
U 0.0482 0.0482 0.0482 [8 per cell]
C 0.0000 0.2500 0.2841 [12 per cell]
C 0.0000 0.2500 0.4596 [12 per cell]

Largest 11 diffraction maxima, by angle, 5° ≤ 2θ ≤ 70°:
hkl  2θ/deg  I (rel.)
2 1 1  27.02  45
2 2 0  31.30  100
3 0 1  35.11  83
3 2 1  41.82  41
4 0 0  44.86  7
3 3 2  53.15  27
4 2 2  55.72  14
4 3 1  58.20  58
5 2 1  62.99  29
4 4 0  65.31  1
5 0 3  67.58  6